Record 1
Structure and calculated X-ray diffraction stick pattern of NdSm7Ho3 (the GGA-PBE geometry in Alexandria; λ = 1.5418 Å (Cu Kα)).
No peak broadening, texture or thermal motion is included.

The 8 most intense peaks (10 to 80 degrees two-theta), low angle first:
30.61°, d 2.921, I 100, (2 0 1); 30.98°, d 2.886, I 32, (0 0 3); 35.60°, d 2.522, I 67, (0 2 2); 50.99°, d 1.791, I 24, (2 2 0); 51.48°, d 1.775, I 23, (2 0 4); 60.65°, d 1.527, I 14, (0 4 1); 60.87°, d 1.522, I 28, (2 2 3); 61.31°, d 1.512, I 14, (0 2 5)

Structure:
a = 7.1646 Å, b = 7.1646 Å, c = 8.6586 Å
α = 90.00°, β = 90.00°, γ = 120.00°
Space group P3m1 (No. 156)
One atom of each set of equivalent atoms:
Nd 0.0000 0.0000 0.0000 x1
Sm 0.0018 0.5009 0.9879 x3
Sm 0.3317 0.1659 0.3319 x3
Sm 0.3333 0.6667 0.3202 x1
Ho 0.1669 0.3338 0.6593 x3

***

Record 2
Structure and calculated X-ray diffraction stick pattern of TbHfTi2O8 (the GGA-PBE geometry in Alexandria; λ = 1.5418 Å (Cu Kα)).
No peak broadening, texture or thermal motion is included.

The 8 most intense peaks (10 to 80 degrees two-theta), low angle first:
19.30°, d 4.598, I 43, (1 0 1); 29.87°, d 2.991, I 100, (1 1 2); 35.32°, d 2.541, I 19, (2 0 0); 40.56°, d 2.224, I 16, (2 1 1); 49.26°, d 1.850, I 31, (2 0 4); 50.81°, d 1.797, I 15, (2 2 0); 57.28°, d 1.608, I 16, (1 1 6); 60.07°, d 1.540, I 28, (1 3 2)

Structure:
a = 5.0824 Å, b = 5.0824 Å, c = 10.7908 Å
α = 90.00°, β = 90.00°, γ = 90.00°
Space group I-4 (No. 82)
One atom of each set of equivalent atoms:
Tb 0.0000 0.0000 0.0000 x2
Hf 0.0000 0.5000 0.7500 x2
Ti 0.0000 0.0000 0.5000 x2
Ti 0.0000 0.5000 0.2500 x2
O 0.1613 0.2625 0.5920 x8
O 0.1864 0.7630 0.1690 x8

***

Record 3
Structure and calculated X-ray diffraction stick pattern of AcLa2Ga2Ag2 (the GGA-PBE geometry in Alexandria; λ = 1.5418 Å (Cu Kα)).
No peak broadening, texture or thermal motion is included.

The 8 most intense peaks (10 to 80 degrees two-theta), low angle first:
21.78°, d 4.081, I 25, (1 0 1); 30.71°, d 2.912, I 83, (1 0 7); 33.04°, d 2.711, I 79, (0 1 8); 37.79°, d 2.380, I 100, (1 1 0); 49.46°, d 1.843, I 23, (0 2 7); 51.06°, d 1.789, I 23, (2 0 8); 62.12°, d 1.494, I 34, (1 1 15); 65.24°, d 1.430, I 22, (1 2 8)

Structure:
a = 4.7608 Å, b = 4.7608 Å, c = 28.7896 Å
α = 90.00°, β = 90.00°, γ = 120.00°
Space group R-3m (No. 166, hexagonal axes)
One atom of each set of equivalent atoms:
Ac 0.0000 0.0000 0.0000 x3
La 0.0000 0.0000 0.1297 x6
Ga 0.0000 0.0000 0.2552 x6
Ag 0.0000 0.0000 0.4050 x6

***

Record 4
Structure and calculated X-ray diffraction stick pattern of NdSn4RuRh2 (the GGA-PBE geometry in Alexandria; λ = 1.5418 Å (Cu Kα)).
No peak broadening, texture or thermal motion is included.

The 8 most intense peaks (10 to 80 degrees two-theta), low angle first:
27.77°, d 3.212, I 21, (0 1 5); 34.22°, d 2.620, I 84, (0 1 8); 40.01°, d 2.253, I 100, (1 1 0); 42.08°, d 2.147, I 31, (0 1 11); 53.65°, d 1.708, I 24, (2 0 8); 68.98°, d 1.361, I 22, (1 2 8); 72.68°, d 1.301, I 18, (3 0 0); 74.10°, d 1.280, I 12, (1 2 11)

Structure:
a = 4.5066 Å, b = 4.5066 Å, c = 28.2843 Å
α = 90.00°, β = 90.00°, γ = 120.00°
Space group R-3m (No. 166, hexagonal axes)
One atom of each set of equivalent atoms:
Nd 0.0000 0.0000 0.0000 x3
Sn 0.0000 0.0000 0.1313 x6
Sn 0.0000 0.0000 0.3977 x6
Ru 0.0000 0.0000 0.5000 x3
Rh 0.0000 0.0000 0.2309 x6

***

Record 5
Structure and calculated X-ray diffraction stick pattern of Cr2InRe (the GGA-PBE geometry in Alexandria; λ = 1.5418 Å (Cu Kα)).
No peak broadening, texture or thermal motion is included.

The 8 most intense peaks (10 to 80 degrees two-theta), low angle first:
12.59°, d 7.032, I 36, (0 0 1); 33.18°, d 2.700, I 43, (1 0 1); 38.40°, d 2.344, I 15, (0 0 3); 40.11°, d 2.248, I 100, (1 0 2); 43.78°, d 2.068, I 46, (1 1 0); 59.63°, d 1.551, I 17, (1 1 3); 63.65°, d 1.462, I 15, (2 0 0); 77.95°, d 1.226, I 27, (2 1 2)

Structure:
a = 2.9240 Å, b = 2.9240 Å, c = 7.0320 Å
α = 90.00°, β = 90.00°, γ = 90.00°
Space group P4mm (No. 99)
One atom of each set of equivalent atoms:
Cr 0.0000 0.0000 0.0000 x1
Cr 0.5000 0.5000 0.1893 x1
In 0.0000 0.0000 0.4782 x1
Re 0.5000 0.5000 0.7832 x1

***

Record 6
Structure and calculated X-ray diffraction stick pattern of LaYSe3 (the GGA-PBE geometry in Alexandria; λ = 1.5418 Å (Cu Kα)).
No peak broadening, texture or thermal motion is included.

The 8 most intense peaks (10 to 80 degrees two-theta), low angle first:
29.91°, d 2.987, I 35, (1 0 5); 32.75°, d 2.734, I 28, (1 1 4); 33.15°, d 2.702, I 100, (2 1 2); 34.94°, d 2.568, I 42, (0 1 5); 35.46°, d 2.531, I 22, (2 1 3); 36.87°, d 2.438, I 49, (1 1 5); 42.86°, d 2.110, I 41, (0 2 0); 66.43°, d 1.407, I 22, (2 1 10)

Structure:
a = 7.8166 Å, b = 4.2204 Å, c = 16.1616 Å
α = 90.00°, β = 90.00°, γ = 90.00°
Space group Pnma (No. 62)
One atom of each set of equivalent atoms:
La 0.1398 0.2500 0.2003 x4
Y 0.2283 0.7500 0.4568 x4
Se 0.0100 0.2500 0.3951 x4
Se 0.1244 0.7500 0.0610 x4
Se 0.1523 0.2500 0.7843 x4

***

Number 2 is which compound? TbHfTi2O8